Computed XRD peak list
Compound: Li2PmMoF8
Radiation: Cu Kα (weighted mean of Kα1 and Kα2)
Structure: a DFT-relaxed cell (PBE+U, Alexandria)
Kinematic intensities with the Lorentz-polarization factor, no thermal factor.

Structural model:
a b c (Å): 4.0963 5.1371 7.4247
angles (deg): 95.86 90.47 94.89
Space group P-1 (No. 2)
Asymmetric unit:
Li 0.0378 0.4613 0.2969 (multiplicity 2)
Pm 0.5000 0.0000 0.0000 (multiplicity 1)
Mo 0.5000 0.0000 0.5000 (multiplicity 1)
F 0.0640 0.2491 0.0505 (multiplicity 2)
F 0.1307 0.2621 0.5132 (multiplicity 2)
F 0.3629 0.7610 0.2513 (multiplicity 2)
F 0.3841 0.7623 0.7127 (multiplicity 2)

Main lines, by angle (2θ = 15–90°):
| index | 2theta | I/Imax |
| --- | --- | --- |
| 0 1 0 | 17.42 | 1000 |
| 1 0 0 | 21.78 | 536 |
| 0 0 2 | 24.10 | 441 |
| 1 -1 0 | 26.79 | 468 |
| 0 1 -2 | 28.36 | 359 |
| 1 1 0 | 29.21 | 313 |
| 0 1 2 | 31.36 | 227 |
| 1 1 -2 | 36.73 | 227 |
| 1 1 2 | 39.65 | 292 |
| 2 -1 0 | 46.49 | 193 |